The following is a calculated powder diffraction line list of Li4Mn8O13F3. It was derived from a PBE+U-relaxed structure, using λ = 1.5418 Å (Cu Kα).
Peak positions follow from Bragg's law for the DFT cell and can differ from measured ones.

Atomic structure:
a = 6.0244 Å, b = 6.0633 Å, c = 10.3159 Å
α = 92.62°, β = 103.76°, γ = 119.63°
Atoms (fractional coordinates):
Li 0.0000 0.0000 0.0000
Li 0.0074 0.5041 0.4973
Li 0.7688 0.3167 0.1181
Li 0.7909 0.8173 0.6141
Mn 0.3942 0.4075 0.8063
Mn 0.3943 0.9076 0.8073
Mn 0.3950 0.9088 0.3058
Mn 0.3968 0.6492 0.0590
Mn 0.3988 0.1623 0.5559
Mn 0.4024 0.4120 0.3018
Mn 0.8883 0.8959 0.3022
Mn 0.8953 0.4090 0.8073
O 0.1421 0.5611 0.7016
O 0.1441 0.0616 0.2025
O 0.1518 0.3293 0.9206
O 0.1583 0.8385 0.4229
O 0.1987 0.5494 0.1963
O 0.2038 0.0547 0.6910
O 0.5856 0.7602 0.9210
O 0.5897 0.2681 0.4178
O 0.6138 0.5017 0.1870
O 0.6321 0.9804 0.1908
O 0.6359 0.4852 0.6909
O 0.6442 0.7543 0.4115
O 0.6463 0.2548 0.9112
F 0.1359 0.7958 0.9439
F 0.1678 0.3234 0.4313
F 0.6518 0.0198 0.6676

Peak list (10 most intense, 2θ from 10° to 80°, sorted by position)
2θ/deg	intensity	(hkl)
17.76	100	1 0 0
18.05	51	0 0 2
18.38	54	-1 1 1
34.05	32	1 -2 2
34.53	17	1 1 1
35.11	19	0 1 3
35.95	16	0 2 -2
41.21	44	2 -2 2
42.54	39	0 2 2
43.21	38	2 0 -4